Starting from a GGA-PBE-relaxed structure, the powder diffraction line list of Mg5Si9 was calculated for copper Kα.

Cell and atoms:
Cell: 7.2564 7.5435 10.5140 Å, 95.65 104.29 112.20°
Space group P1 (No. 1)
Inequivalent atoms, fractional coordinates:
Mg  0.0000  0.0000  0.0000 (multiplicity 1)
Mg  0.0009  0.6899  0.8008 (multiplicity 1)
Mg  0.0916  0.2807  0.2434 (multiplicity 1)
Mg  0.1853  0.6972  0.0965 (multiplicity 1)
Mg  0.1920  0.1442  0.7832 (multiplicity 1)
Mg  0.3185  0.8911  0.6151 (multiplicity 1)
Mg  0.4666  0.1796  0.2103 (multiplicity 1)
Mg  0.6917  0.8967  0.1599 (multiplicity 1)
Mg  0.8626  0.5666  0.2539 (multiplicity 1)
Mg  0.8870  0.8759  0.4797 (multiplicity 1)
Si  0.0050  0.3638  0.8834 (multiplicity 1)
Si  0.1407  0.9468  0.2944 (multiplicity 1)
Si  0.1682  0.4745  0.6885 (multiplicity 1)
Si  0.2232  0.2391  0.5347 (multiplicity 1)
Si  0.3182  0.5666  0.4542 (multiplicity 1)
Si  0.3383  0.4040  0.0458 (multiplicity 1)
Si  0.4144  0.9829  0.9550 (multiplicity 1)
Si  0.4665  0.9141  0.3924 (multiplicity 1)
Si  0.4859  0.7368  0.8402 (multiplicity 1)
Si  0.4963  0.6098  0.2792 (multiplicity 1)
Si  0.5768  0.3234  0.7384 (multiplicity 1)
Si  0.6251  0.5484  0.5920 (multiplicity 1)
Si  0.6401  0.5361  0.9606 (multiplicity 1)
Si  0.7240  0.1312  0.6229 (multiplicity 1)
Si  0.7506  0.8738  0.7323 (multiplicity 1)
Si  0.7713  0.2564  0.0334 (multiplicity 1)
Si  0.8102  0.1941  0.4116 (multiplicity 1)
Si  0.9130  0.5342  0.5204 (multiplicity 1)

Most intense lines, 10° ≤ 2θ ≤ 90°, low angle first:
- 34.37 deg, d = 2.610 Å, I 53.3, hkl 2 1 -2
- 36.08 deg, d = 2.490 Å, I 98.2, hkl 2 -2 2
- 37.37 deg, d = 2.407 Å, I 100.0, hkl 1 2 -3
- 37.84 deg, d = 2.378 Å, I 87.2, hkl 2 0 2
- 38.96 deg, d = 2.312 Å, I 55.6, hkl 2 -3 1
- 39.30 deg, d = 2.292 Å, I 62.3, hkl -2 1 4
- 40.74 deg, d = 2.215 Å, I 54.9, hkl 1 1 3
- 42.62 deg, d = 2.121 Å, I 70.0, hkl 0 3 1

***

Starting from a GGA-PBE-relaxed structure, the powder diffraction line list of TaNi6Mo was calculated for copper Kα.

Cell and atoms:
Cell: 4.2582 5.0928 4.5167 Å, 90.00 90.00 90.00°
Space group Pmm2 (No. 25)
Inequivalent atoms, fractional coordinates:
Ta  0.0000  0.0000  0.0000 (multiplicity 1)
Ni  0.0000  0.2549  0.5065 (multiplicity 2)
Ni  0.0000  0.5000  0.0105 (multiplicity 1)
Ni  0.5000  0.0000  0.6691 (multiplicity 1)
Ni  0.5000  0.2539  0.1887 (multiplicity 2)
Mo  0.5000  0.5000  0.6943 (multiplicity 1)

Most intense lines, 10° ≤ 2θ ≤ 90°, low angle first:
- 40.67 deg, d = 2.218 Å, I 30.8, hkl 0 2 1
- 42.46 deg, d = 2.129 Å, I 44.8, hkl 2 0 0
- 45.46 deg, d = 1.995 Å, I 60.3, hkl 1 0 2
- 46.14 deg, d = 1.967 Å, I 100.0, hkl 1 2 1
- 60.25 deg, d = 1.536 Å, I 18.5, hkl 2 2 1
- 73.00 deg, d = 1.296 Å, I 16.1, hkl 0 2 3
- 80.30 deg, d = 1.196 Å, I 19.1, hkl 3 2 1
- 88.28 deg, d = 1.107 Å, I 19.7, hkl 2 2 3

***

Starting from a GGA-PBE-relaxed structure, the powder diffraction line list of V5Si3 was calculated for copper Kα.

Cell and atoms:
Cell: 6.1866 6.1866 11.0455 Å, 90.00 90.00 90.00°
Space group I4/mcm (No. 140)
Inequivalent atoms, fractional coordinates:
V  0.0000  0.0000  0.0000 (multiplicity 4)
V  0.1656  0.3344  0.1516 (multiplicity 16)
Si  0.0000  0.0000  0.2500 (multiplicity 4)
Si  0.1328  0.3672  0.5000 (multiplicity 8)

Most intense lines, 10° ≤ 2θ ≤ 90°, low angle first:
- 33.39 deg, d = 2.684 Å, I 10.6, hkl 2 1 1
- 38.56 deg, d = 2.335 Å, I 14.7, hkl 1 1 4
- 40.80 deg, d = 2.212 Å, I 100.0, hkl 2 1 3
- 41.27 deg, d = 2.187 Å, I 11.1, hkl 2 2 0
- 43.95 deg, d = 2.060 Å, I 25.5, hkl 2 0 4
- 46.41 deg, d = 1.956 Å, I 42.5, hkl 3 1 0
- 49.51 deg, d = 1.841 Å, I 12.5, hkl 0 0 6
- 67.40 deg, d = 1.390 Å, I 12.6, hkl 4 1 3